This entry pairs a crystal structure of LiYMg6O8 with its simulated X-ray powder pattern. Radiation: CuKα. Structure: DFT lattice parameters and positions (GGA-PBE).

Structural model:
```
data_LiYMg6O8
_cell_length_a 4.3615
_cell_length_b 4.3615
_cell_length_c 8.7422
_cell_angle_alpha 90.00
_cell_angle_beta 90.00
_cell_angle_gamma 90.00
_symmetry_space_group_name_H-M 'P 4/m m m'
_symmetry_Int_Tables_number 123
_symmetry_space_group_name_Hall '-P 4 2'
loop_
_atom_site_label
_atom_site_type_symbol
_atom_site_fract_x
_atom_site_fract_y
_atom_site_fract_z
Li1 Li 0.0000 0.0000 0.0000
Y1 Y 0.5000 0.5000 0.0000
Mg1 Mg 0.0000 0.0000 0.5000
Mg2 Mg 0.0000 0.5000 0.2589
Mg3 Mg 0.5000 0.5000 0.5000
O1 O 0.0000 0.0000 0.2604
O2 O 0.0000 0.5000 0.0000
O3 O 0.0000 0.5000 0.5000
O4 O 0.5000 0.5000 0.2610
```

Peak list (10 most intense, 10° ≤ 2θ ≤ 90°, low angle first)
20.4°, d 4.363, I = 25.8, (1 0 0)
22.8°, d 3.903, I = 34.3, (1 0 1)
28.9°, d 3.087, I = 21.2, (1 0 2)
35.6°, d 2.520, I = 19.9, (1 1 2)
37.1°, d 2.423, I = 9.5, (1 0 3)
41.4°, d 2.182, I = 100.0, (2 0 0)
46.5°, d 1.952, I = 11.1, (2 1 0)
47.8°, d 1.904, I = 9.0, (2 1 1)
59.9°, d 1.543, I = 57.6, (2 2 0)
75.4°, d 1.260, I = 17.4, (2 2 4)


This entry pairs a crystal structure of LiYMg14O16 with its simulated X-ray powder pattern. Radiation: CuKα. Structure: DFT lattice parameters and positions (GGA-PBE).

Structural model:
```
data_LiYMg14O16
_cell_length_a 4.3134
_cell_length_b 8.5987
_cell_length_c 8.6391
_cell_angle_alpha 90.00
_cell_angle_beta 90.00
_cell_angle_gamma 90.00
_symmetry_space_group_name_H-M 'P m m m'
_symmetry_Int_Tables_number 47
_symmetry_space_group_name_Hall '-P 2 2'
loop_
_atom_site_label
_atom_site_type_symbol
_atom_site_fract_x
_atom_site_fract_y
_atom_site_fract_z
Li1 Li 0.0000 0.0000 0.0000
Y1 Y 0.0000 0.0000 0.5000
Mg1 Mg 0.0000 0.2524 0.2388
Mg2 Mg 0.0000 0.5000 0.0000
Mg3 Mg 0.0000 0.5000 0.5000
Mg4 Mg 0.5000 0.0000 0.2309
Mg5 Mg 0.5000 0.2448 0.0000
Mg6 Mg 0.5000 0.2613 0.5000
Mg7 Mg 0.5000 0.5000 0.2472
O1 O 0.0000 0.0000 0.2441
O2 O 0.0000 0.2595 0.0000
O3 O 0.0000 0.2600 0.5000
O4 O 0.0000 0.5000 0.2518
O5 O 0.5000 0.0000 0.0000
O6 O 0.5000 0.0000 0.5000
O7 O 0.5000 0.2488 0.2533
O8 O 0.5000 0.5000 0.0000
O9 O 0.5000 0.5000 0.5000
```

Peak list (10 most intense, 10° ≤ 2θ ≤ 90°, low angle first)
10.2°, d 8.631, I = 19.6, (0 0 1)
14.5°, d 6.094, I = 15.6, (0 1 1)
23.1°, d 3.855, I = 17.2, (0 2 1)
31.1°, d 2.874, I = 14.7, (0 0 3)
36.1°, d 2.489, I = 22.0, (1 2 2)
41.9°, d 2.158, I = 100.0, (2 0 0)
42.0°, d 2.150, I = 49.4, (0 4 0)
60.7°, d 1.526, I = 28.1, (2 0 4)
60.8°, d 1.523, I = 56.0, (2 4 0)
76.6°, d 1.244, I = 25.1, (2 4 4)